For K3Cu2Cl7, the GGA-PBE geometry in Alexandria gives the calculated X-ray powder pattern in this record (copper Kα).
Neutral-atom scattering factors, no anomalous dispersion.

Atomic structure:
```
K3Cu2Cl7
1.0
-2.443 2.443 12.503
2.443 -2.443 12.503
2.443 2.443 -12.503
K Cu Cl
3 2 7
direct
0.000 0.000 0.000
0.180 0.180 0.000
0.820 0.820 0.000
0.403 0.403 0.000
0.597 0.597 0.000
0.094 0.594 0.500
0.307 0.307 0.000
0.406 0.906 0.500
0.500 0.500 0.000
0.594 0.094 0.500
0.693 0.693 0.000
0.906 0.406 0.500
```

Largest 10 diffraction maxima, in order of rising 2θ, 5 to 70 degrees two-theta:
2theta, I (rel.)
7.1, 525
14.2, 395
18.5, 455
25.5, 394
25.8, 517
33.7, 393
35.9, 391
36.8, 1000
52.4, 468
53.0, 308

***

For K4MnCu3Cl12, the GGA-PBE geometry in Alexandria gives the calculated X-ray powder pattern in this record (copper Kα).
Neutral-atom scattering factors, no anomalous dispersion.

Atomic structure:
```
K4MnCu3Cl12
1.0
-4.888 4.888 4.888
4.888 -4.888 4.888
4.888 4.888 -4.888
K Mn Cu Cl
4 1 3 12
direct
0.000 0.000 0.500
0.000 0.500 0.000
0.500 0.000 0.000
0.500 0.500 0.500
0.000 0.000 0.000
0.000 0.500 0.500
0.500 0.000 0.500
0.500 0.500 0.000
0.000 0.241 0.241
0.000 0.759 0.759
0.241 0.000 0.241
0.241 0.241 0.000
0.250 0.500 0.750
0.250 0.750 0.500
0.500 0.250 0.750
0.500 0.750 0.250
0.750 0.250 0.500
0.750 0.500 0.250
0.759 0.000 0.759
0.759 0.759 0.000
```

Largest 10 diffraction maxima, in order of rising 2θ, 5 to 70 degrees two-theta:
2theta, I (rel.)
18.1, 524
25.8, 579
31.7, 308
36.8, 1000
41.3, 235
45.5, 240
53.0, 614
56.5, 109
59.8, 102
66.2, 195